No. 1
Starting from a DFT-relaxed cell (GGA-PBE, Alexandria), the powder diffraction line list of Np2Te5Rh was calculated for λ = 1.5418 Å (Cu Kα).

Peak list (10 most intense, 2θ from 5° to 70°, sorted by position)
- 2θ = 24.8°, 3.591 Å, I 16.7
- 2θ = 30.6°, 2.919 Å, I 100.0
- 2θ = 31.9°, 2.804 Å, I 39.7
- 2θ = 32.7°, 2.740 Å, I 65.2
- 2θ = 33.4°, 2.686 Å, I 47.8
- 2θ = 34.9°, 2.572 Å, I 19.1
- 2θ = 42.7°, 2.119 Å, I 32.5
- 2θ = 45.0°, 2.013 Å, I 28.6
- 2θ = 54.3°, 1.690 Å, I 17.8
- 2θ = 62.9°, 1.477 Å, I 19.9

Crystal structure
```
data_Np2Te5Rh
_chemical_formula_sum 'Np4 Te10 Rh2'
_symmetry_space_group_name_H-M 'P 1'
_symmetry_Int_Tables_number 1
_symmetry_space_group_name_Hall 'P 1'
_cell_length_a 8.561
_cell_length_b 11.869
_cell_length_c 4.238
_cell_angle_alpha 90.00
_cell_angle_beta 90.00
_cell_angle_gamma 90.00
loop_
_atom_site_label
_atom_site_type_symbol
_atom_site_fract_x
_atom_site_fract_y
_atom_site_fract_z
Np1 Np 0.086 0.177 0.000
Np2 Np 0.414 0.677 0.000
Np3 Np 0.586 0.323 0.000
Np4 Np 0.914 0.823 0.000
Te1 Te 0.000 0.000 0.500
Te2 Te 0.136 0.703 0.500
Te3 Te 0.182 0.445 0.000
Te4 Te 0.318 0.945 0.000
Te5 Te 0.364 0.203 0.500
Te6 Te 0.500 0.500 0.500
Te7 Te 0.636 0.797 0.500
Te8 Te 0.682 0.055 0.000
Te9 Te 0.818 0.555 0.000
Te10 Te 0.864 0.297 0.500
Rh1 Rh 0.000 0.500 0.500
Rh2 Rh 0.500 0.000 0.500
```

No. 2
Starting from a DFT-relaxed cell (GGA-PBE, Alexandria), the powder diffraction line list of ThNpRh4 was calculated for λ = 1.5418 Å (Cu Kα).

Peak list (7 most intense, 2θ from 5° to 70°, sorted by position)
- 2θ = 20.3°, 4.384 Å, I 6.6
- 2θ = 33.4°, 2.684 Å, I 56.6
- 2θ = 39.4°, 2.289 Å, I 100.0
- 2θ = 41.2°, 2.192 Å, I 18.3
- 2θ = 52.5°, 1.742 Å, I 2.1
- 2θ = 59.7°, 1.550 Å, I 22.3
- 2θ = 63.7°, 1.461 Å, I 32.7

Crystal structure
```
data_ThNpRh4
_chemical_formula_sum 'Th1 Np1 Rh4'
_symmetry_space_group_name_H-M 'P 1'
_symmetry_Int_Tables_number 1
_symmetry_space_group_name_Hall 'P 1'
_cell_length_a 5.369
_cell_length_b 5.369
_cell_length_c 5.369
_cell_angle_alpha 60.00
_cell_angle_beta 60.00
_cell_angle_gamma 60.00
loop_
_atom_site_label
_atom_site_type_symbol
_atom_site_fract_x
_atom_site_fract_y
_atom_site_fract_z
Th1 Th 0.000 0.000 0.000
Np1 Np 0.750 0.750 0.750
Rh1 Rh 0.376 0.376 0.376
Rh2 Rh 0.376 0.376 0.873
Rh3 Rh 0.376 0.873 0.376
Rh4 Rh 0.873 0.376 0.376
```

No. 3
Starting from a DFT-relaxed cell (GGA-PBE, Alexandria), the powder diffraction line list of Np4Sb6Ru7 was calculated for λ = 1.5418 Å (Cu Kα).

Peak list (10 most intense, 2θ from 5° to 70°, sorted by position)
- 2θ = 28.9°, 3.090 Å, I 34.0
- 2θ = 35.6°, 2.523 Å, I 100.0
- 2θ = 38.5°, 2.336 Å, I 8.9
- 2θ = 41.3°, 2.185 Å, I 58.9
- 2θ = 44.0°, 2.060 Å, I 10.6
- 2θ = 46.5°, 1.954 Å, I 11.3
- 2θ = 48.9°, 1.863 Å, I 10.5
- 2θ = 59.9°, 1.545 Å, I 31.4
- 2θ = 63.9°, 1.456 Å, I 9.1
- 2θ = 67.8°, 1.382 Å, I 13.8

Crystal structure
```
data_Np4Sb6Ru7
_chemical_formula_sum 'Np4 Sb6 Ru7'
_symmetry_space_group_name_H-M 'P 1'
_symmetry_Int_Tables_number 1
_symmetry_space_group_name_Hall 'P 1'
_cell_length_a 7.568
_cell_length_b 7.568
_cell_length_c 7.568
_cell_angle_alpha 109.47
_cell_angle_beta 109.47
_cell_angle_gamma 109.47
loop_
_atom_site_label
_atom_site_type_symbol
_atom_site_fract_x
_atom_site_fract_y
_atom_site_fract_z
Np1 Np 0.000 0.000 0.500
Np2 Np 0.000 0.500 0.000
Np3 Np 0.500 0.000 0.000
Np4 Np 0.500 0.500 0.500
Sb1 Sb 0.000 0.312 0.312
Sb2 Sb 0.000 0.688 0.688
Sb3 Sb 0.312 0.000 0.312
Sb4 Sb 0.312 0.312 0.000
Sb5 Sb 0.688 0.000 0.688
Sb6 Sb 0.688 0.688 0.000
Ru1 Ru 0.000 0.000 0.000
Ru2 Ru 0.250 0.500 0.750
Ru3 Ru 0.250 0.750 0.500
Ru4 Ru 0.500 0.250 0.750
Ru5 Ru 0.500 0.750 0.250
Ru6 Ru 0.750 0.250 0.500
Ru7 Ru 0.750 0.500 0.250
```

No. 4
Starting from a DFT-relaxed cell (GGA-PBE, Alexandria), the powder diffraction line list of Np4Sb8Ru3 was calculated for λ = 1.5418 Å (Cu Kα).

Peak list (10 most intense, 2θ from 5° to 70°, sorted by position)
- 2θ = 22.5°, 3.949 Å, I 19.8
- 2θ = 29.6°, 3.022 Å, I 11.6
- 2θ = 30.5°, 2.935 Å, I 11.7
- 2θ = 35.0°, 2.560 Å, I 100.0
- 2θ = 36.1°, 2.489 Å, I 16.0
- 2θ = 41.1°, 2.194 Å, I 41.9
- 2θ = 51.5°, 1.775 Å, I 10.0
- 2θ = 55.9°, 1.646 Å, I 9.4
- 2θ = 58.6°, 1.576 Å, I 11.3
- 2θ = 59.6°, 1.551 Å, I 14.1

Crystal structure
```
data_Np4Sb8Ru3
_chemical_formula_sum 'Np4 Sb8 Ru3'
_symmetry_space_group_name_H-M 'P 1'
_symmetry_Int_Tables_number 1
_symmetry_space_group_name_Hall 'P 1'
_cell_length_a 4.387
_cell_length_b 4.387
_cell_length_c 18.133
_cell_angle_alpha 90.00
_cell_angle_beta 90.00
_cell_angle_gamma 90.00
loop_
_atom_site_label
_atom_site_type_symbol
_atom_site_fract_x
_atom_site_fract_y
_atom_site_fract_z
Np1 Np 0.000 0.500 0.111
Np2 Np 0.000 0.500 0.615
Np3 Np 0.500 0.000 0.385
Np4 Np 0.500 0.000 0.889
Sb1 Sb 0.000 0.000 0.249
Sb2 Sb 0.000 0.000 0.751
Sb3 Sb 0.000 0.500 0.422
Sb4 Sb 0.000 0.500 0.908
Sb5 Sb 0.500 0.000 0.092
Sb6 Sb 0.500 0.000 0.578
Sb7 Sb 0.500 0.500 0.249
Sb8 Sb 0.500 0.500 0.751
Ru1 Ru 0.000 0.000 0.000
Ru2 Ru 0.000 0.000 0.500
Ru3 Ru 0.500 0.500 0.000
```

No. 5
Starting from a DFT-relaxed cell (GGA-PBE, Alexandria), the powder diffraction line list of Sm2Np2ScRu5 was calculated for λ = 1.5418 Å (Cu Kα).

Peak list (10 most intense, 2θ from 5° to 70°, sorted by position)
- 2θ = 11.9°, 7.419 Å, I 32.7
- 2θ = 18.9°, 4.692 Å, I 28.0
- 2θ = 30.3°, 2.946 Å, I 15.7
- 2θ = 35.3°, 2.545 Å, I 19.2
- 2θ = 36.3°, 2.473 Å, I 42.9
- 2θ = 37.0°, 2.427 Å, I 100.0
- 2θ = 40.0°, 2.253 Å, I 35.2
- 2θ = 42.8°, 2.112 Å, I 38.6
- 2θ = 51.3°, 1.780 Å, I 19.3
- 2θ = 64.5°, 1.445 Å, I 16.3

Crystal structure
```
data_Sm2Np2ScRu5
_chemical_formula_sum 'Sm4 Np4 Sc2 Ru10'
_symmetry_space_group_name_H-M 'P 1'
_symmetry_Int_Tables_number 1
_symmetry_space_group_name_Hall 'P 1'
_cell_length_a 10.492
_cell_length_b 10.492
_cell_length_c 3.560
_cell_angle_alpha 90.00
_cell_angle_beta 90.00
_cell_angle_gamma 90.00
loop_
_atom_site_label
_atom_site_type_symbol
_atom_site_fract_x
_atom_site_fract_y
_atom_site_fract_z
Sm1 Sm 0.172 0.328 0.000
Sm2 Sm 0.328 0.828 0.000
Sm3 Sm 0.672 0.172 0.000
Sm4 Sm 0.828 0.672 0.000
Np1 Np 0.139 0.639 0.000
Np2 Np 0.361 0.139 0.000
Np3 Np 0.639 0.861 0.000
Np4 Np 0.861 0.361 0.000
Sc1 Sc 0.000 0.000 0.000
Sc2 Sc 0.500 0.500 0.000
Ru1 Ru 0.000 0.500 0.500
Ru2 Ru 0.057 0.797 0.500
Ru3 Ru 0.203 0.057 0.500
Ru4 Ru 0.297 0.557 0.500
Ru5 Ru 0.443 0.297 0.500
Ru6 Ru 0.500 0.000 0.500
Ru7 Ru 0.557 0.703 0.500
Ru8 Ru 0.703 0.443 0.500
Ru9 Ru 0.797 0.943 0.500
Ru10 Ru 0.943 0.203 0.500
```

No. 6
Starting from a DFT-relaxed cell (GGA-PBE, Alexandria), the powder diffraction line list of NpSiRu3 was calculated for λ = 1.5418 Å (Cu Kα).

Peak list (10 most intense, 2θ from 5° to 70°, sorted by position)
- 2θ = 19.6°, 4.525 Å, I 82.4
- 2θ = 31.0°, 2.887 Å, I 100.0
- 2θ = 32.8°, 2.733 Å, I 50.3
- 2θ = 37.6°, 2.395 Å, I 38.7
- 2θ = 37.7°, 2.385 Å, I 40.7
- 2θ = 39.8°, 2.263 Å, I 64.5
- 2θ = 40.7°, 2.215 Å, I 88.6
- 2θ = 44.9°, 2.018 Å, I 69.2
- 2θ = 45.4°, 1.996 Å, I 42.1
- 2θ = 62.6°, 1.483 Å, I 38.6

Crystal structure
```
data_NpSiRu3
_chemical_formula_sum 'Np2 Si2 Ru6'
_symmetry_space_group_name_H-M 'P 1'
_symmetry_Int_Tables_number 1
_symmetry_space_group_name_Hall 'P 1'
_cell_length_a 6.126
_cell_length_b 6.126
_cell_length_c 6.126
_cell_angle_alpha 126.73
_cell_angle_beta 104.55
_cell_angle_gamma 98.66
loop_
_atom_site_label
_atom_site_type_symbol
_atom_site_fract_x
_atom_site_fract_y
_atom_site_fract_z
Np1 Np 0.262 0.012 0.250
Np2 Np 0.738 0.988 0.750
Si1 Si 0.000 0.500 0.500
Si2 Si 0.500 0.500 0.000
Ru1 Ru 0.039 0.289 0.750
Ru2 Ru 0.313 0.000 0.813
Ru3 Ru 0.313 0.500 0.313
Ru4 Ru 0.687 0.000 0.187
Ru5 Ru 0.687 0.500 0.687
Ru6 Ru 0.961 0.711 0.250
```

No. 7
Starting from a DFT-relaxed cell (GGA-PBE, Alexandria), the powder diffraction line list of Np4Sn8Ru was calculated for λ = 1.5418 Å (Cu Kα).

Peak list (10 most intense, 2θ from 5° to 70°, sorted by position)
- 2θ = 22.9°, 3.879 Å, I 7.4
- 2θ = 32.7°, 2.737 Å, I 100.0
- 2θ = 33.7°, 2.659 Å, I 8.7
- 2θ = 35.9°, 2.504 Å, I 9.4
- 2θ = 39.6°, 2.273 Å, I 20.1
- 2θ = 41.0°, 2.202 Å, I 16.5
- 2θ = 58.3°, 1.582 Å, I 12.0
- 2θ = 64.0°, 1.455 Å, I 7.0
- 2θ = 67.6°, 1.386 Å, I 11.4
- 2θ = 69.5°, 1.353 Å, I 12.5

Crystal structure
```
data_Np4Sn8Ru
_chemical_formula_sum 'Np4 Sn8 Ru1'
_symmetry_space_group_name_H-M 'P 1'
_symmetry_Int_Tables_number 1
_symmetry_space_group_name_Hall 'P 1'
_cell_length_a 4.404
_cell_length_b 4.546
_cell_length_c 16.391
_cell_angle_alpha 90.00
_cell_angle_beta 90.00
_cell_angle_gamma 90.00
loop_
_atom_site_label
_atom_site_type_symbol
_atom_site_fract_x
_atom_site_fract_y
_atom_site_fract_z
Np1 Np 0.000 0.000 0.000
Np2 Np 0.000 0.500 0.474
Np3 Np 0.500 0.000 0.781
Np4 Np 0.500 0.500 0.303
Sn1 Sn 0.000 0.000 0.320
Sn2 Sn 0.000 0.000 0.615
Sn3 Sn 0.000 0.500 0.149
Sn4 Sn 0.000 0.500 0.856
Sn5 Sn 0.500 0.000 0.153
Sn6 Sn 0.500 0.000 0.453
Sn7 Sn 0.500 0.500 0.612
Sn8 Sn 0.500 0.500 0.978
Ru1 Ru 0.000 0.500 0.698
```

No. 8
Starting from a DFT-relaxed cell (GGA-PBE, Alexandria), the powder diffraction line list of Tb3NpRu4 was calculated for λ = 1.5418 Å (Cu Kα).

Peak list (10 most intense, 2θ from 5° to 70°, sorted by position)
- 2θ = 18.5°, 4.806 Å, I 2.3
- 2θ = 26.2°, 3.398 Å, I 8.2
- 2θ = 32.3°, 2.775 Å, I 1.3
- 2θ = 37.4°, 2.403 Å, I 100.0
- 2θ = 42.0°, 2.149 Å, I 0.7
- 2θ = 46.3°, 1.962 Å, I 2.6
- 2θ = 50.2°, 1.817 Å, I 0.8
- 2θ = 54.0°, 1.699 Å, I 17.4
- 2θ = 61.0°, 1.520 Å, I 3.6
- 2θ = 67.5°, 1.387 Å, I 35.3

Crystal structure
```
data_Tb3NpRu4
_chemical_formula_sum 'Tb6 Np2 Ru8'
_symmetry_space_group_name_H-M 'P 1'
_symmetry_Int_Tables_number 1
_symmetry_space_group_name_Hall 'P 1'
_cell_length_a 6.797
_cell_length_b 6.797
_cell_length_c 6.797
_cell_angle_alpha 90.00
_cell_angle_beta 90.00
_cell_angle_gamma 90.00
loop_
_atom_site_label
_atom_site_type_symbol
_atom_site_fract_x
_atom_site_fract_y
_atom_site_fract_z
Tb1 Tb 0.000 0.000 0.500
Tb2 Tb 0.000 0.500 0.000
Tb3 Tb 0.000 0.500 0.500
Tb4 Tb 0.500 0.000 0.000
Tb5 Tb 0.500 0.000 0.500
Tb6 Tb 0.500 0.500 0.000
Np1 Np 0.000 0.000 0.000
Np2 Np 0.500 0.500 0.500
Ru1 Ru 0.250 0.250 0.250
Ru2 Ru 0.250 0.250 0.750
Ru3 Ru 0.250 0.750 0.250
Ru4 Ru 0.250 0.750 0.750
Ru5 Ru 0.750 0.250 0.250
Ru6 Ru 0.750 0.250 0.750
Ru7 Ru 0.750 0.750 0.250
Ru8 Ru 0.750 0.750 0.750
```

No. 9
Starting from a DFT-relaxed cell (GGA-PBE, Alexandria), the powder diffraction line list of Tb5Np2Ru5 was calculated for λ = 1.5418 Å (Cu Kα).

Peak list (10 most intense, 2θ from 5° to 70°, sorted by position)
- 2θ = 20.9°, 4.250 Å, I 9.6
- 2θ = 26.9°, 3.319 Å, I 16.7
- 2θ = 32.1°, 2.790 Å, I 15.8
- 2θ = 34.0°, 2.636 Å, I 14.6
- 2θ = 36.4°, 2.470 Å, I 100.0
- 2θ = 38.1°, 2.361 Å, I 40.9
- 2θ = 40.3°, 2.240 Å, I 17.4
- 2θ = 53.8°, 1.705 Å, I 10.2
- 2θ = 65.4°, 1.426 Å, I 18.0
- 2θ = 66.6°, 1.405 Å, I 10.6

Crystal structure
```
data_Tb5Np2Ru5
_chemical_formula_sum 'Tb5 Np2 Ru5'
_symmetry_space_group_name_H-M 'P 1'
_symmetry_Int_Tables_number 1
_symmetry_space_group_name_Hall 'P 1'
_cell_length_a 4.941
_cell_length_b 4.941
_cell_length_c 12.587
_cell_angle_alpha 101.18
_cell_angle_beta 101.18
_cell_angle_gamma 59.96
loop_
_atom_site_label
_atom_site_type_symbol
_atom_site_fract_x
_atom_site_fract_y
_atom_site_fract_z
Tb1 Tb 0.000 0.000 0.000
Tb2 Tb 0.190 0.190 0.572
Tb3 Tb 0.281 0.281 0.842
Tb4 Tb 0.719 0.719 0.158
Tb5 Tb 0.810 0.810 0.428
Np1 Np 0.426 0.426 0.277
Np2 Np 0.574 0.574 0.723
Ru1 Ru 0.112 0.112 0.334
Ru2 Ru 0.359 0.359 0.075
Ru3 Ru 0.500 0.500 0.500
Ru4 Ru 0.641 0.641 0.925
Ru5 Ru 0.888 0.888 0.666
```

No. 10
Starting from a DFT-relaxed cell (GGA-PBE, Alexandria), the powder diffraction line list of Tm2NpRu3 was calculated for λ = 1.5418 Å (Cu Kα).

Peak list (10 most intense, 2θ from 5° to 70°, sorted by position)
- 2θ = 26.4°, 3.373 Å, I 11.4
- 2θ = 26.7°, 3.340 Å, I 5.3
- 2θ = 37.1°, 2.423 Å, I 28.4
- 2θ = 37.9°, 2.374 Å, I 100.0
- 2θ = 38.3°, 2.350 Å, I 23.0
- 2θ = 54.4°, 1.687 Å, I 16.7
- 2θ = 55.0°, 1.670 Å, I 8.7
- 2θ = 67.4°, 1.389 Å, I 18.5
- 2θ = 68.2°, 1.375 Å, I 9.1
- 2θ = 69.0°, 1.361 Å, I 23.2

Crystal structure
```
data_Tm2NpRu3
_chemical_formula_sum 'Tm4 Np2 Ru6'
_symmetry_space_group_name_H-M 'P 1'
_symmetry_Int_Tables_number 1
_symmetry_space_group_name_Hall 'P 1'
_cell_length_a 4.845
_cell_length_b 14.099
_cell_length_c 3.340
_cell_angle_alpha 90.00
_cell_angle_beta 90.00
_cell_angle_gamma 90.00
loop_
_atom_site_label
_atom_site_type_symbol
_atom_site_fract_x
_atom_site_fract_y
_atom_site_fract_z
Tm1 Tm 0.000 0.170 0.000
Tm2 Tm 0.000 0.830 0.000
Tm3 Tm 0.500 0.330 0.000
Tm4 Tm 0.500 0.670 0.000
Np1 Np 0.000 0.500 0.000
Np2 Np 0.500 0.000 0.000
Ru1 Ru 0.000 0.000 0.500
Ru2 Ru 0.000 0.348 0.500
Ru3 Ru 0.000 0.652 0.500
Ru4 Ru 0.500 0.152 0.500
Ru5 Ru 0.500 0.500 0.500
Ru6 Ru 0.500 0.848 0.500
```

No. 11
Starting from a DFT-relaxed cell (GGA-PBE, Alexandria), the powder diffraction line list of Np4U2Ru3 was calculated for λ = 1.5418 Å (Cu Kα).

Peak list (10 most intense, 2θ from 5° to 70°, sorted by position)
- 2θ = 26.1°, 3.419 Å, I 25.5
- 2θ = 29.3°, 3.049 Å, I 28.1
- 2θ = 30.3°, 2.947 Å, I 24.7
- 2θ = 30.8°, 2.906 Å, I 37.8
- 2θ = 39.4°, 2.288 Å, I 34.8
- 2θ = 40.1°, 2.250 Å, I 70.3
- 2θ = 40.2°, 2.244 Å, I 100.0
- 2θ = 42.9°, 2.110 Å, I 22.8
- 2θ = 52.2°, 1.752 Å, I 30.1
- 2θ = 67.3°, 1.391 Å, I 21.7

Crystal structure
```
data_Np4U2Ru3
_chemical_formula_sum 'Np4 U2 Ru3'
_symmetry_space_group_name_H-M 'P 1'
_symmetry_Int_Tables_number 1
_symmetry_space_group_name_Hall 'P 1'
_cell_length_a 8.060
_cell_length_b 8.060
_cell_length_c 6.149
_cell_angle_alpha 97.23
_cell_angle_beta 97.23
_cell_angle_gamma 25.11
loop_
_atom_site_label
_atom_site_type_symbol
_atom_site_fract_x
_atom_site_fract_y
_atom_site_fract_z
Np1 Np 0.071 0.071 0.246
Np2 Np 0.224 0.224 0.201
Np3 Np 0.776 0.776 0.799
Np4 Np 0.929 0.929 0.754
U1 U 0.167 0.167 0.651
U2 U 0.833 0.833 0.349
Ru1 Ru 0.411 0.411 0.066
Ru2 Ru 0.500 0.500 0.500
Ru3 Ru 0.589 0.589 0.934
```

No. 12
Starting from a DFT-relaxed cell (GGA-PBE, Alexandria), the powder diffraction line list of NpUZnRu was calculated for λ = 1.5418 Å (Cu Kα).

Peak list (6 most intense, 2θ from 5° to 70°, sorted by position)
- 2θ = 23.4°, 3.805 Å, I 23.4
- 2θ = 38.6°, 2.330 Å, I 100.0
- 2θ = 45.7°, 1.987 Å, I 13.1
- 2θ = 55.8°, 1.648 Å, I 17.4
- 2θ = 61.3°, 1.512 Å, I 5.8
- 2θ = 69.9°, 1.345 Å, I 35.8

Crystal structure
```
data_NpUZnRu
_chemical_formula_sum 'Np4 U4 Zn4 Ru4'
_symmetry_space_group_name_H-M 'P 1'
_symmetry_Int_Tables_number 1
_symmetry_space_group_name_Hall 'P 1'
_cell_length_a 6.591
_cell_length_b 6.591
_cell_length_c 6.591
_cell_angle_alpha 90.00
_cell_angle_beta 90.00
_cell_angle_gamma 90.00
loop_
_atom_site_label
_atom_site_type_symbol
_atom_site_fract_x
_atom_site_fract_y
_atom_site_fract_z
Np1 Np 0.000 0.000 0.000
Np2 Np 0.000 0.500 0.500
Np3 Np 0.500 0.000 0.500
Np4 Np 0.500 0.500 0.000
U1 U 0.250 0.250 0.750
U2 U 0.250 0.750 0.250
U3 U 0.750 0.250 0.250
U4 U 0.750 0.750 0.750
Zn1 Zn 0.250 0.250 0.250
Zn2 Zn 0.250 0.750 0.750
Zn3 Zn 0.750 0.250 0.750
Zn4 Zn 0.750 0.750 0.250
Ru1 Ru 0.000 0.000 0.500
Ru2 Ru 0.000 0.500 0.000
Ru3 Ru 0.500 0.000 0.000
Ru4 Ru 0.500 0.500 0.500
```